[1]
Structure and theoretical X-ray powder pattern of LiV3O4F2 (a DFT-relaxed cell (GGA+U, Alexandria); Cu Kα (weighted mean of Kα1 and Kα2)).

```
data_LiV3O4F2
_chemical_formula_sum 'Li1 V3 O4 F2'
_space_group_name_H-M_alt 'P 1'
_space_group_IT_number 1
_cell_length_a 5.136
_cell_length_b 5.151
_cell_length_c 5.497
_cell_angle_alpha 92.74
_cell_angle_beta 115.59
_cell_angle_gamma 117.77
loop_
_space_group_symop_operation_xyz
'x,y,z'
loop_
_atom_site_label
_atom_site_type_symbol
_atom_site_fract_x
_atom_site_fract_y
_atom_site_fract_z
Li1 Li 0.000 0.000 0.000
V1 V 0.090 0.550 0.568
V2 V 0.459 0.693 0.166
V3 V 0.505 0.245 0.653
O1 O 0.296 0.832 0.384
O2 O 0.538 0.606 0.849
O3 O 0.620 0.470 0.384
O4 O 0.965 0.346 0.855
F1 F 0.296 0.958 0.877
F2 F 0.964 0.122 0.359
```

Largest 8 diffraction maxima, by angle, 2θ = 10–90°:
d [Å]  2θ (°)  intensity
4.262  20.84  73
3.898  22.81  88
3.655  24.35  100
2.822  31.71  100
2.784  32.15  77
2.730  32.80  76
2.292  39.31  88
1.782  51.27  90

***

[2]
Structure and theoretical X-ray powder pattern of Li4V2OF7 (a DFT-relaxed cell (GGA+U, Alexandria); Cu Kα (weighted mean of Kα1 and Kα2)).

```
data_Li4V2OF7
_chemical_formula_sum 'Li4 V2 O1 F7'
_space_group_name_H-M_alt 'P 1'
_space_group_IT_number 1
_cell_length_a 5.967
_cell_length_b 6.026
_cell_length_c 6.037
_cell_angle_alpha 62.02
_cell_angle_beta 60.82
_cell_angle_gamma 60.58
loop_
_space_group_symop_operation_xyz
'x,y,z'
loop_
_atom_site_label
_atom_site_type_symbol
_atom_site_fract_x
_atom_site_fract_y
_atom_site_fract_z
Li1 Li 0.000 0.000 0.000
Li2 Li 0.106 0.636 0.616
Li3 Li 0.514 0.984 0.997
Li4 Li 0.872 0.371 0.401
V1 V 0.504 0.503 0.002
V2 V 0.513 0.986 0.516
O1 O 0.712 0.761 0.745
F1 F 0.246 0.769 0.227
F2 F 0.253 0.232 0.742
F3 F 0.254 0.758 0.753
F4 F 0.276 0.234 0.261
F5 F 0.731 0.774 0.254
F6 F 0.742 0.228 0.786
F7 F 0.743 0.238 0.259
```

Largest 8 diffraction maxima, by angle, 2θ = 10–90°:
d [Å]  2θ (°)  intensity
4.899  18.11  94
4.864  18.24  100
4.244  20.93  46
2.984  29.95  26
2.619  34.24  48
2.155  41.92  54
2.149  42.04  51
2.122  42.61  52

***

[3]
Structure and theoretical X-ray powder pattern of Li5VO3F2 (a DFT-relaxed cell (GGA+U, Alexandria); Cu Kα (weighted mean of Kα1 and Kα2)).

```
data_Li5VO3F2
_chemical_formula_sum 'Li10 V2 O6 F4'
_space_group_name_H-M_alt 'C 1 2/m 1'
_space_group_IT_number 12
_cell_length_a 9.646
_cell_length_b 4.026
_cell_length_c 5.978
_cell_angle_alpha 90.00
_cell_angle_beta 111.44
_cell_angle_gamma 90.00
loop_
_space_group_symop_operation_xyz
'x,y,z'
'-x,-y,-z'
'-x,y,-z'
'x,-y,z'
'x+1/2,y+1/2,z'
'-x+1/2,-y+1/2,-z'
'-x+1/2,y+1/2,-z'
'x+1/2,-y+1/2,z'
loop_
_atom_site_label
_atom_site_type_symbol
_atom_site_fract_x
_atom_site_fract_y
_atom_site_fract_z
Li1 Li 0.000 0.000 0.000
Li2 Li 0.172 0.500 0.380
Li3 Li 0.203 0.500 0.807
V1 V 0.000 0.000 0.500
O1 O 0.000 0.500 0.500
O2 O 0.140 0.000 0.320
F1 F 0.177 0.000 0.842
```

Largest 8 diffraction maxima, by angle, 2θ = 10–90°:
d [Å]  2θ (°)  intensity
5.564  15.93  100
4.358  20.38  70
3.673  24.23  99
2.999  29.79  33
2.179  41.44  50
2.052  44.12  43
2.013  45.04  44
1.479  62.85  23

***

[4]
Structure and theoretical X-ray powder pattern of LiV2OF5 (a DFT-relaxed cell (GGA+U, Alexandria); Cu Kα (weighted mean of Kα1 and Kα2)).

```
data_LiV2OF5
_chemical_formula_sum 'Li3 V6 O3 F15'
_space_group_name_H-M_alt 'P 1'
_space_group_IT_number 1
_cell_length_a 4.583
_cell_length_b 8.707
_cell_length_c 8.741
_cell_angle_alpha 60.13
_cell_angle_beta 89.82
_cell_angle_gamma 89.40
loop_
_space_group_symop_operation_xyz
'x,y,z'
loop_
_atom_site_label
_atom_site_type_symbol
_atom_site_fract_x
_atom_site_fract_y
_atom_site_fract_z
Li1 Li 0.000 0.000 0.000
Li2 Li 0.015 0.336 0.326
Li3 Li 0.505 0.669 0.666
V1 V 0.015 0.335 0.668
V2 V 0.016 0.655 0.990
V3 V 0.485 0.021 0.671
V4 V 0.485 0.330 0.015
V5 V 0.519 0.681 0.316
V6 V 0.982 0.980 0.342
O1 O 0.236 0.448 0.092
O2 O 0.243 0.130 0.760
O3 O 0.766 0.874 0.240
F1 F 0.234 0.102 0.450
F2 F 0.240 0.460 0.437
F3 F 0.241 0.101 0.126
F4 F 0.252 0.773 0.105
F5 F 0.259 0.787 0.772
F6 F 0.266 0.772 0.449
F7 F 0.272 0.441 0.781
F8 F 0.730 0.898 0.559
F9 F 0.735 0.552 0.551
F10 F 0.736 0.554 0.885
F11 F 0.751 0.214 0.226
F12 F 0.756 0.236 0.550
F13 F 0.761 0.562 0.205
F14 F 0.764 0.232 0.890
F15 F 0.767 0.890 0.877
```

Largest 8 diffraction maxima, by angle, 2θ = 10–90°:
d [Å]  2θ (°)  intensity
4.366  20.34  75
3.172  28.13  100
3.155  28.29  58
3.140  28.42  39
2.215  40.74  45
2.198  41.07  29
1.702  53.87  29
1.687  54.39  28

***

[5]
Structure and theoretical X-ray powder pattern of Li3V2O4F2 (a DFT-relaxed cell (GGA+U, Alexandria); Cu Kα (weighted mean of Kα1 and Kα2)).

```
data_Li3V2O4F2
_chemical_formula_sum 'Li9 V6 O12 F6'
_space_group_name_H-M_alt 'P 1 m 1'
_space_group_IT_number 6
_cell_length_a 5.160
_cell_length_b 8.938
_cell_length_c 7.409
_cell_angle_alpha 90.00
_cell_angle_beta 93.23
_cell_angle_gamma 90.00
loop_
_space_group_symop_operation_xyz
'x,y,z'
'x,-y,z'
loop_
_atom_site_label
_atom_site_type_symbol
_atom_site_fract_x
_atom_site_fract_y
_atom_site_fract_z
Li1 Li 0.000 0.000 0.000
Li2 Li 0.115 0.177 0.716
Li3 Li 0.410 0.500 0.004
Li4 Li 0.571 0.333 0.740
Li5 Li 0.589 0.000 0.768
Li6 Li 0.957 0.335 0.992
V1 V 0.262 0.000 0.359
V2 V 0.265 0.333 0.362
V3 V 0.758 0.167 0.359
V4 V 0.769 0.500 0.373
O1 O 0.089 0.166 0.217
O2 O 0.095 0.500 0.215
O3 O 0.427 0.169 0.510
O4 O 0.434 0.500 0.508
O5 O 0.566 0.000 0.229
O6 O 0.571 0.339 0.228
O7 O 0.954 0.000 0.498
O8 O 0.957 0.328 0.499
F1 F 0.252 0.000 0.831
F2 F 0.265 0.334 0.866
F3 F 0.736 0.500 0.882
F4 F 0.795 0.169 0.849
```

Largest 8 diffraction maxima, by angle, 2θ = 10–90°:
d [Å]  2θ (°)  intensity
7.397  11.96  100
3.699  24.06  34
2.578  34.79  23
2.414  37.24  9
2.172  41.58  19
2.088  43.33  37
1.523  60.80  9
1.488  62.39  15

***

[6]
Structure and theoretical X-ray powder pattern of Li3VO3F2 (a DFT-relaxed cell (GGA+U, Alexandria); Cu Kα (weighted mean of Kα1 and Kα2)).

```
data_Li3VO3F2
_chemical_formula_sum 'Li6 V2 O6 F4'
_space_group_name_H-M_alt 'P 1'
_space_group_IT_number 1
_cell_length_a 5.058
_cell_length_b 5.175
_cell_length_c 7.709
_cell_angle_alpha 100.80
_cell_angle_beta 108.39
_cell_angle_gamma 102.65
loop_
_space_group_symop_operation_xyz
'x,y,z'
loop_
_atom_site_label
_atom_site_type_symbol
_atom_site_fract_x
_atom_site_fract_y
_atom_site_fract_z
Li1 Li 0.000 0.000 0.000
Li2 Li 0.060 0.507 0.507
Li3 Li 0.268 0.626 0.177
Li4 Li 0.355 0.195 0.383
Li5 Li 0.653 0.797 0.584
Li6 Li 0.872 0.427 0.799
V1 V 0.275 0.056 0.717
V2 V 0.655 0.342 0.129
O1 O 0.050 0.785 0.752
O2 O 0.280 0.891 0.498
O3 O 0.300 0.338 0.951
O4 O 0.635 0.541 0.326
O5 O 0.636 0.089 0.864
O6 O 0.991 0.279 0.228
F1 F 0.426 0.005 0.167
F2 F 0.457 0.435 0.633
F3 F 0.869 0.639 0.049
F4 F 0.918 0.180 0.592
```

Largest 8 diffraction maxima, by angle, 2θ = 10–90°:
d [Å]  2θ (°)  intensity
4.852  18.28  72
4.725  18.78  82
4.639  19.13  100
3.975  22.36  95
3.515  25.34  62
2.109  42.88  81
2.087  43.36  74
2.037  44.48  81

***

[7]
Structure and theoretical X-ray powder pattern of Li4V7O9F7 (a DFT-relaxed cell (GGA+U, Alexandria); Cu Kα (weighted mean of Kα1 and Kα2)).

```
data_Li4V7O9F7
_chemical_formula_sum 'Li8 V14 O18 F14'
_space_group_name_H-M_alt 'C 1 m 1'
_space_group_IT_number 8
_cell_length_a 10.489
_cell_length_b 6.018
_cell_length_c 10.656
_cell_angle_alpha 90.00
_cell_angle_beta 110.11
_cell_angle_gamma 90.00
loop_
_space_group_symop_operation_xyz
'x,y,z'
'x,-y,z'
'x+1/2,y+1/2,z'
'x+1/2,-y+1/2,z'
loop_
_atom_site_label
_atom_site_type_symbol
_atom_site_fract_x
_atom_site_fract_y
_atom_site_fract_z
Li1 Li 0.000 0.000 0.000
Li2 Li 0.002 0.500 0.501
Li3 Li 0.383 0.000 0.118
Li4 Li 0.395 0.500 0.610
V1 V 0.187 0.263 0.800
V2 V 0.193 0.500 0.056
V3 V 0.201 0.252 0.300
V4 V 0.213 0.000 0.566
V5 V 0.438 0.500 0.293
O1 O 0.079 0.000 0.208
O2 O 0.090 0.500 0.186
O3 O 0.091 0.500 0.690
O4 O 0.099 0.000 0.680
O5 O 0.294 0.500 0.926
O6 O 0.299 0.000 0.430
O7 O 0.315 0.273 0.182
O8 O 0.323 0.500 0.410
F1 F 0.080 0.235 0.433
F2 F 0.080 0.250 0.931
F3 F 0.298 0.000 0.917
F4 F 0.315 0.250 0.681
```

Largest 8 diffraction maxima, by angle, 2θ = 10–90°:
d [Å]  2θ (°)  intensity
5.003  17.73  19
4.932  17.99  100
2.579  34.79  17
2.569  34.92  13
2.166  41.69  28
2.134  42.35  53
1.529  60.53  17
1.511  61.34  15

***

[8]
Structure and theoretical X-ray powder pattern of LiV4OF11 (a DFT-relaxed cell (GGA+U, Alexandria); Cu Kα (weighted mean of Kα1 and Kα2)).

```
data_LiV4OF11
_chemical_formula_sum 'Li4 V16 O4 F44'
_space_group_name_H-M_alt 'C 1 2 1'
_space_group_IT_number 5
_cell_length_a 9.816
_cell_length_b 5.209
_cell_length_c 17.478
_cell_angle_alpha 90.00
_cell_angle_beta 103.27
_cell_angle_gamma 90.00
loop_
_space_group_symop_operation_xyz
'x,y,z'
'-x,y,-z'
'x+1/2,y+1/2,z'
'-x+1/2,y+1/2,-z'
loop_
_atom_site_label
_atom_site_type_symbol
_atom_site_fract_x
_atom_site_fract_y
_atom_site_fract_z
Li1 Li 0.180 0.000 0.354
V1 V 0.053 0.520 0.694
V2 V 0.058 0.976 0.188
V3 V 0.184 0.000 0.563
V4 V 0.186 0.477 0.062
O1 O 0.037 0.806 0.282
F1 F 0.000 0.114 0.500
F2 F 0.000 0.585 0.000
F3 F 0.032 0.295 0.778
F4 F 0.098 0.171 0.098
F5 F 0.103 0.682 0.596
F6 F 0.128 0.867 0.875
F7 F 0.134 0.366 0.379
F8 F 0.152 0.672 0.152
F9 F 0.155 0.206 0.649
F10 F 0.217 0.822 0.466
F11 F 0.223 0.282 0.973
F12 F 0.244 0.107 0.257
```

Largest 8 diffraction maxima, by angle, 2θ = 10–90°:
d [Å]  2θ (°)  intensity
3.808  23.36  52
3.768  23.61  100
2.769  32.33  21
2.282  39.48  14
1.884  48.31  18
1.745  52.43  16
1.733  52.81  15
1.717  53.35  14

***

[9]
Structure and theoretical X-ray powder pattern of Li2VO2F2 (a DFT-relaxed cell (GGA+U, Alexandria); Cu Kα (weighted mean of Kα1 and Kα2)).

```
data_Li2VO2F2
_chemical_formula_sum 'Li16 V8 O16 F16'
_space_group_name_H-M_alt 'C 1 c 1'
_space_group_IT_number 9
_cell_length_a 10.369
_cell_length_b 5.912
_cell_length_c 10.380
_cell_angle_alpha 90.00
_cell_angle_beta 112.39
_cell_angle_gamma 90.00
loop_
_space_group_symop_operation_xyz
'x,y,z'
'x,-y,z+1/2'
'x+1/2,y+1/2,z'
'x+1/2,-y+1/2,z+1/2'
loop_
_atom_site_label
_atom_site_type_symbol
_atom_site_fract_x
_atom_site_fract_y
_atom_site_fract_z
Li1 Li 0.000 0.008 0.000
Li2 Li 0.002 0.490 0.503
Li3 Li 0.188 0.251 0.814
Li4 Li 0.317 0.262 0.186
V1 V 0.002 0.269 0.249
V2 V 0.253 0.226 0.500
O1 O 0.121 0.464 0.374
O2 O 0.129 0.032 0.380
O3 O 0.378 0.447 0.623
O4 O 0.382 0.012 0.621
F1 F 0.114 0.260 0.129
F2 F 0.132 0.238 0.613
F3 F 0.373 0.244 0.388
F4 F 0.390 0.253 0.870
```

Largest 8 diffraction maxima, by angle, 2θ = 10–90°:
d [Å]  2θ (°)  intensity
4.875  18.20  100
4.310  20.61  18
2.956  30.24  14
2.584  34.71  12
2.484  36.17  25
2.155  41.92  21
2.065  43.84  36
1.492  62.24  12

***

[10]
Structure and theoretical X-ray powder pattern of Li3VO3F2 (a DFT-relaxed cell (GGA+U, Alexandria); Cu Kα (weighted mean of Kα1 and Kα2)).

```
data_Li3VO3F2
_chemical_formula_sum 'Li3 V1 O3 F2'
_space_group_name_H-M_alt 'P 1'
_space_group_IT_number 1
_cell_length_a 3.578
_cell_length_b 5.509
_cell_length_c 5.705
_cell_angle_alpha 85.70
_cell_angle_beta 71.86
_cell_angle_gamma 71.08
loop_
_space_group_symop_operation_xyz
'x,y,z'
loop_
_atom_site_label
_atom_site_type_symbol
_atom_site_fract_x
_atom_site_fract_y
_atom_site_fract_z
Li1 Li 0.000 0.000 0.000
Li2 Li 0.132 0.505 0.229
Li3 Li 0.673 0.116 0.537
V1 V 0.827 0.555 0.790
O1 O 0.058 0.326 0.555
O2 O 0.289 0.641 0.778
O3 O 0.774 0.393 0.059
F1 F 0.593 0.959 0.855
F2 F 0.919 0.851 0.310
```

Largest 8 diffraction maxima, by angle, 2θ = 10–90°:
d [Å]  2θ (°)  intensity
5.419  16.36  100
5.210  17.02  58
3.811  23.34  34
3.239  27.54  26
3.221  27.69  77
2.433  36.95  38
2.322  38.79  29
1.789  51.06  24